The following is a computed XRD peak list of SrHg4Au. It was derived from a DFT-relaxed cell (GGA-PBE, Alexandria), using Cu Kα X-rays.

Cell and atoms:
```
SrHg4Au
1.0
2.6142 -8.7581 0.0000
2.6142 8.7581 0.0000
0.0000 0.0000 7.0788
Sr Hg Au
2 8 2
Cartesian
2.6142 5.8741 3.5394 Sr
2.6142 -5.8741 0.0000 Sr
2.6142 8.3061 6.1704 Hg
2.6142 5.1994 6.9202 Hg
2.6142 2.3592 4.8065 Hg
2.6142 0.5965 0.5162 Hg
2.6142 -0.5965 4.0556 Hg
2.6142 -2.3592 1.2671 Hg
2.6142 -5.1994 3.3808 Hg
2.6142 -8.3061 2.6310 Hg
2.6142 3.1393 1.9317 Au
2.6142 -3.1393 5.4711 Au
```

Principal peaks in the range 10° ≤ 2θ ≤ 80°, low angle first:
30.65 deg, d 2.917, intensity 18; 30.93 deg, d 2.891, intensity 39; 33.25 deg, d 2.694, intensity 48; 34.26 deg, d 2.617, intensity 100; 42.02 deg, d 2.150, intensity 12; 42.34 deg, d 2.135, intensity 10; 48.48 deg, d 1.878, intensity 13; 61.39 deg, d 1.510, intensity 11

The following is a computed XRD peak list of Sr2HgAu3. It was derived from a DFT-relaxed cell (GGA-PBE, Alexandria), using Cu Kα X-rays.

Cell and atoms:
```
Sr2HgAu3
1.0
0.0000 4.8617 8.4525
3.9492 0.0000 8.4525
3.9492 4.8617 0.0000
Sr Hg Au
4 2 6
Cartesian
5.9508 4.8617 8.4525 Sr
1.9746 2.4309 4.2262 Sr
5.9239 7.2926 12.6787 Sr
1.9476 4.8617 8.4525 Sr
3.9492 4.8617 5.6415 Hg
3.9492 4.8617 11.2634 Hg
3.9492 2.4109 7.0556 Au
3.9492 4.8617 2.8056 Au
3.9492 2.4109 9.8493 Au
3.9492 7.3125 7.0556 Au
3.9492 4.8617 14.0993 Au
3.9492 7.3125 9.8493 Au
```

Principal peaks in the range 10° ≤ 2θ ≤ 80°, low angle first:
21.06 deg, d 4.218, intensity 18; 22.51 deg, d 3.949, intensity 42; 31.02 deg, d 2.883, intensity 100; 36.87 deg, d 2.438, intensity 60; 36.98 deg, d 2.431, intensity 30; 43.66 deg, d 2.073, intensity 46; 49.00 deg, d 1.859, intensity 19; 60.35 deg, d 1.534, intensity 44

The following is a computed XRD peak list of TaHgAu3. It was derived from a DFT-relaxed cell (GGA-PBE, Alexandria), using Cu Kα X-rays.

Cell and atoms:
```
TaHgAu3
1.0
5.1880 0.0000 0.0000
0.0000 5.1880 0.0000
0.0000 0.0000 5.1880
Ta Hg Au
1 1 3
Cartesian
0.0000 0.0000 0.0000 Ta
2.5940 2.5940 2.5940 Hg
0.0000 0.0000 2.5940 Au
0.0000 2.5940 0.0000 Au
2.5940 0.0000 0.0000 Au
```

Principal peaks in the range 10° ≤ 2θ ≤ 80°, low angle first:
17.09 deg, d 5.188, intensity 18; 24.26 deg, d 3.668, intensity 17; 29.83 deg, d 2.995, intensity 78; 34.58 deg, d 2.594, intensity 100; 49.71 deg, d 1.834, intensity 73; 59.05 deg, d 1.564, intensity 35; 61.96 deg, d 1.498, intensity 25; 72.94 deg, d 1.297, intensity 12

The following is a computed XRD peak list of Tb4HgAu. It was derived from a DFT-relaxed cell (GGA-PBE, Alexandria), using Cu Kα X-rays.

Cell and atoms:
```
Tb4HgAu
1.0
7.2563 0.0000 0.0000
0.0000 7.3575 0.0000
-0.3340 0.0000 7.0428
Tb Hg Au
8 2 2
Cartesian
1.0707 1.1789 1.1853 Tb
0.9037 2.4999 4.7067 Tb
2.4239 4.7899 0.9079 Tb
2.2569 6.2464 4.4293 Tb
4.6654 1.1112 2.6135 Tb
4.4984 2.5676 6.1349 Tb
6.0186 4.8576 2.3361 Tb
5.8516 6.1787 5.8575 Tb
3.6281 0.0000 0.0000 Hg
3.4611 3.6788 3.5214 Hg
-0.1670 0.0000 3.5214 Au
0.0000 3.6788 0.0000 Au
```

Principal peaks in the range 10° ≤ 2θ ≤ 80°, low angle first:
20.99 deg, d 4.233, intensity 31; 21.68 deg, d 4.099, intensity 33; 27.39 deg, d 3.256, intensity 100; 28.70 deg, d 3.110, intensity 33; 30.26 deg, d 2.953, intensity 41; 34.73 deg, d 2.583, intensity 41; 40.75 deg, d 2.214, intensity 59; 41.72 deg, d 2.165, intensity 33

The following is a computed XRD peak list of Tb2Hg5Au. It was derived from a DFT-relaxed cell (GGA-PBE, Alexandria), using Cu Kα X-rays.

Cell and atoms:
```
Tb2Hg5Au
1.0
2.3846 1.3768 10.6262
-2.3846 1.3768 10.6262
0.0000 -2.7535 10.6262
Tb Hg Au
2 5 1
Cartesian
0.0000 0.0000 2.9633 Tb
0.0000 0.0000 28.9153 Tb
0.0000 0.0000 6.4362 Hg
0.0000 0.0000 11.8486 Hg
0.0000 0.0000 15.9393 Hg
0.0000 0.0000 20.0299 Hg
0.0000 0.0000 25.4424 Hg
0.0000 0.0000 0.0000 Au
```

Principal peaks in the range 10° ≤ 2θ ≤ 80°, low angle first:
29.19 deg, d 3.059, intensity 62; 31.19 deg, d 2.868, intensity 17; 35.57 deg, d 2.524, intensity 51; 37.72 deg, d 2.385, intensity 100; 37.93 deg, d 2.372, intensity 22; 52.82 deg, d 1.733, intensity 17; 66.72 deg, d 1.402, intensity 17; 68.11 deg, d 1.377, intensity 18

The following is a computed XRD peak list of Tb8HgAu2. It was derived from a DFT-relaxed cell (GGA-PBE, Alexandria), using Cu Kα X-rays.

Cell and atoms:
```
Tb8HgAu2
1.0
9.0310 -2.5683 0.0000
9.0310 2.5683 0.0000
-1.9786 0.0000 6.7435
Tb Hg Au
8 1 2
Cartesian
0.0119 0.0000 1.8082 Tb
1.9665 0.0000 5.5747 Tb
4.9146 0.0000 3.5357 Tb
7.2958 0.0000 0.2443 Tb
8.7876 0.0000 6.4992 Tb
11.1689 0.0000 3.2079 Tb
14.1169 0.0000 1.1689 Tb
16.0715 0.0000 4.9353 Tb
8.0417 0.0000 3.3718 Hg
2.8795 0.0000 1.5163 Au
13.2039 0.0000 5.2272 Au
```

Principal peaks in the range 10° ≤ 2θ ≤ 80°, low angle first:
28.83 deg, d 3.096, intensity 17; 30.89 deg, d 2.895, intensity 100; 30.99 deg, d 2.886, intensity 21; 31.13 deg, d 2.873, intensity 27; 33.39 deg, d 2.684, intensity 46; 34.94 deg, d 2.568, intensity 58; 36.03 deg, d 2.493, intensity 28; 60.15 deg, d 1.538, intensity 28